Diffraction record for TbNdSmHo. The XRD peak list is theoretical, not measured: it uses a PBE-relaxed structure and Cu Kα, 1.54184 Å.
No peak broadening, texture or thermal motion is included.

Cell and atoms:
a = 5.094 Å, b = 5.094 Å, c = 10.161 Å
α = 90.00°, β = 90.00°, γ = 90.00°
Fractional coordinates of all 8 atoms:
1 Tb 0.000 0.000 0.000
2 Tb 0.500 0.500 0.500
3 Nd 0.000 0.500 0.750
4 Nd 0.500 0.000 0.250
5 Sm 0.000 0.000 0.500
6 Sm 0.500 0.500 0.000
7 Ho 0.000 0.500 0.250
8 Ho 0.500 0.000 0.750

Main lines, by angle (10 to 90 degrees two-theta):
d [Å]	2θ (°)	I (rel.)
2.938	30.42	100.0
2.545	35.27	50.7
1.799	50.74	36.2
1.535	60.27	28.8
1.533	60.40	14.3
1.469	63.30	12.4
1.273	74.51	3.8
1.270	74.74	1.9
1.168	82.57	5.9
1.167	82.68	11.8
1.139	85.22	11.0
1.137	85.42	5.5